This entry pairs a crystal structure of KAlSi2O6 with its calculated X-ray diffraction stick pattern. Radiation: a wavelength of 1.5418 Å. Structure: DFT lattice parameters and positions (GGA-PBE).
Peak positions follow from Bragg's law for the DFT cell and can differ from measured ones.

Top 8 peaks for 15 to 90 degrees two-theta, low angle first:
two_theta, Rel. int.
20.94, 21
25.24, 100
28.62, 23
31.50, 12
32.12, 12
36.94, 15
44.13, 8
44.60, 8

Unit cell a=7.5178 b=7.5178 c=10.2834 alpha=90.00 beta=90.00 gamma=91.95
Fractional coordinates of all 40 atoms:
K 0.2035 0.7965 0.7500
K 0.2963 0.2963 0.0000
K 0.7037 0.7037 0.5000
K 0.7965 0.2035 0.2500
Al 0.1420 0.6429 0.4355
Al 0.3571 0.8580 0.0645
Al 0.6429 0.1420 0.5645
Al 0.8580 0.3571 0.9355
Si 0.0577 0.0577 0.5000
Si 0.1414 0.3629 0.6855
Si 0.3629 0.1414 0.3145
Si 0.4444 0.5556 0.2500
Si 0.5556 0.4444 0.7500
Si 0.6371 0.8586 0.8145
Si 0.8586 0.6371 0.1855
Si 0.9423 0.9423 0.0000
O 0.0075 0.3909 0.8068
O 0.0933 0.8472 0.5109
O 0.1063 0.4953 0.5659
O 0.1403 0.1539 0.6336
O 0.1528 0.9067 0.9891
O 0.1539 0.1403 0.3664
O 0.3379 0.4090 0.7533
O 0.3643 0.6352 0.1166
O 0.3648 0.6357 0.3834
O 0.3909 0.0075 0.1932
O 0.4090 0.3379 0.2467
O 0.4953 0.1063 0.4341
O 0.5047 0.8937 0.9341
O 0.5910 0.6621 0.7467
O 0.6091 0.9925 0.6932
O 0.6352 0.3643 0.8834
O 0.6357 0.3648 0.6166
O 0.6621 0.5910 0.2533
O 0.8461 0.8597 0.8664
O 0.8472 0.0933 0.4891
O 0.8597 0.8461 0.1336
O 0.8937 0.5047 0.0659
O 0.9067 0.1528 0.0109
O 0.9925 0.6091 0.3068



This entry pairs a crystal structure of KAl3Si3O12 with its calculated X-ray diffraction stick pattern. Radiation: a wavelength of 1.5418 Å. Structure: DFT lattice parameters and positions (GGA-PBE).
Peak positions follow from Bragg's law for the DFT cell and can differ from measured ones.

Top 8 peaks for 15 to 90 degrees two-theta, low angle first:
two_theta, Rel. int.
19.53, 70
22.49, 55
23.25, 54
25.01, 70
25.99, 100
27.07, 60
29.10, 51
34.27, 84

Unit cell a=5.3179 b=5.3179 c=20.6413 alpha=92.57 beta=92.57 gamma=120.26
Fractional coordinates of all 38 atoms:
K 0.1006 0.8994 0.5000
K 0.8994 0.1006 0.0000
Al 0.1947 0.3765 0.7642
Al 0.2052 0.7228 0.8961
Al 0.3765 0.1947 0.2642
Al 0.6347 0.8293 0.2640
Al 0.7228 0.2052 0.3961
Al 0.8293 0.6347 0.7640
Si 0.2999 0.8188 0.1286
Si 0.4115 0.5484 0.3983
Si 0.4760 0.6105 0.6293
Si 0.5484 0.4115 0.8983
Si 0.6105 0.4760 0.1293
Si 0.8188 0.2999 0.6286
O 0.0137 0.9256 0.2903
O 0.0694 0.9948 0.7263
O 0.0874 0.4701 0.4165
O 0.1198 0.6196 0.8123
O 0.1354 0.4207 0.5960
O 0.3237 0.4983 0.9297
O 0.3853 0.8825 0.2059
O 0.4207 0.1354 0.0960
O 0.4345 0.5268 0.3174
O 0.4685 0.6590 0.0959
O 0.4701 0.0874 0.9165
O 0.4844 0.5778 0.7069
O 0.4983 0.3237 0.4297
O 0.5268 0.4345 0.8174
O 0.5778 0.4844 0.2069
O 0.6109 0.9474 0.6080
O 0.6196 0.1198 0.3123
O 0.6459 0.8779 0.4295
O 0.6590 0.4685 0.5959
O 0.8779 0.6459 0.9295
O 0.8825 0.3853 0.7059
O 0.9256 0.0137 0.7903
O 0.9474 0.6109 0.1080
O 0.9948 0.0694 0.2263



This entry pairs a crystal structure of K4Al3Si3O12 with its calculated X-ray diffraction stick pattern. Radiation: a wavelength of 1.5418 Å. Structure: DFT lattice parameters and positions (GGA-PBE).
Peak positions follow from Bragg's law for the DFT cell and can differ from measured ones.

Top 8 peaks for 15 to 90 degrees two-theta, low angle first:
two_theta, Rel. int.
23.28, 100
30.19, 46
33.15, 28
40.91, 68
49.66, 12
57.40, 13
59.23, 20
74.49, 23

Unit cell a=9.3602 b=9.3602 c=9.3602 alpha=90.00 beta=90.00 gamma=90.00
Fractional coordinates of all 44 atoms:
K 0.1829 0.1829 0.1829
K 0.1829 0.8171 0.8171
K 0.3171 0.3171 0.6829
K 0.3171 0.6829 0.3171
K 0.6829 0.3171 0.3171
K 0.6829 0.6829 0.6829
K 0.8171 0.1829 0.8171
K 0.8171 0.8171 0.1829
Al 0.0000 0.2500 0.5000
Al 0.0000 0.7500 0.5000
Al 0.2500 0.5000 0.0000
Al 0.5000 0.0000 0.2500
Al 0.5000 0.0000 0.7500
Al 0.7500 0.5000 0.0000
Si 0.0000 0.5000 0.2500
Si 0.0000 0.5000 0.7500
Si 0.2500 0.0000 0.5000
Si 0.5000 0.2500 0.0000
Si 0.5000 0.7500 0.0000
Si 0.7500 0.0000 0.5000
O 0.0243 0.3561 0.6532
O 0.0243 0.6439 0.3468
O 0.1439 0.4757 0.1532
O 0.1439 0.5243 0.8468
O 0.1532 0.1439 0.4757
O 0.1532 0.8561 0.5243
O 0.3468 0.0243 0.6439
O 0.3468 0.9757 0.3561
O 0.3561 0.3468 0.9757
O 0.3561 0.6532 0.0243
O 0.4757 0.1532 0.1439
O 0.4757 0.8468 0.8561
O 0.5243 0.1532 0.8561
O 0.5243 0.8468 0.1439
O 0.6439 0.3468 0.0243
O 0.6439 0.6532 0.9757
O 0.6532 0.0243 0.3561
O 0.6532 0.9757 0.6439
O 0.8468 0.1439 0.5243
O 0.8468 0.8561 0.4757
O 0.8561 0.4757 0.8468
O 0.8561 0.5243 0.1532
O 0.9757 0.3561 0.3468
O 0.9757 0.6439 0.6532